Computed PXRD pattern
Compound: LiMn2O4
Radiation: Cu Kα, 1.54184 Å
Structure: a cell relaxed with GGA+U

Largest 6 diffraction maxima, by angle, 2θ from 10° to 90°:
2θ (°), Rel. int.
18.04, 100
34.36, 16
35.67, 23
42.21, 20
42.95, 37
64.09, 11

Structure:
```
LiMn2O4
1.0
5.202 0.000 0.000
0.000 2.907 0.000
-1.732 0.000 5.030
Li Mn O
1 2 4
Direct
0.000 0.000 0.000
0.500 0.000 0.500
0.500 0.500 0.000
0.279 0.000 0.806
0.307 0.500 0.259
0.693 0.500 0.741
0.721 0.000 0.194
```